(1)
The following is a calculated powder XRD pattern of MnAl. It was derived from a cell relaxed with PBE, using CuKα.

Crystal structure
a = 4.692 Å, b = 4.692 Å, c = 4.692 Å
α = 49.49°, β = 49.49°, γ = 49.49°
Positions (direct):
Mn (0.179, 0.179, 0.179)
Mn (0.821, 0.821, 0.821)
Al (0.390, 0.390, 0.390)
Al (0.610, 0.610, 0.610)

The 10 most intense peaks (10 to 90 degrees two-theta), by angle:
4.108 Å, 2θ 21.63, rel. 69; 2.978 Å, 2θ 30.00, rel. 45; 2.284 Å, 2θ 39.46, rel. 33; 1.996 Å, 2θ 45.44, rel. 74; 1.964 Å, 2θ 46.22, rel. 100; 1.772 Å, 2θ 51.58, rel. 35; 1.400 Å, 2θ 66.82, rel. 22; 1.140 Å, 2θ 85.10, rel. 22; 1.134 Å, 2θ 85.65, rel. 15; 1.123 Å, 2θ 86.68, rel. 21

(2)
The following is a calculated powder XRD pattern of MnAl12. It was derived from a cell relaxed with PBE, using CuKα.

Crystal structure
a = 6.479 Å, b = 6.479 Å, c = 6.479 Å
α = 109.47°, β = 109.47°, γ = 109.47°
Positions (direct):
Mn (0.000, 0.000, 0.000)
Al (0.117, 0.813, 0.304)
Al (0.187, 0.304, 0.490)
Al (0.187, 0.696, 0.883)
Al (0.304, 0.117, 0.813)
Al (0.304, 0.490, 0.187)
Al (0.490, 0.187, 0.304)
Al (0.510, 0.813, 0.696)
Al (0.696, 0.510, 0.813)
Al (0.696, 0.883, 0.187)
Al (0.813, 0.304, 0.117)
Al (0.813, 0.696, 0.510)
Al (0.883, 0.187, 0.696)

The 10 most intense peaks (10 to 90 degrees two-theta), by angle:
5.290 Å, 2θ 16.76, rel. 38; 3.054 Å, 2θ 29.24, rel. 10; 2.366 Å, 2θ 38.04, rel. 100; 2.160 Å, 2θ 41.83, rel. 53; 1.999 Å, 2θ 45.36, rel. 87; 1.870 Å, 2θ 48.69, rel. 16; 1.467 Å, 2θ 63.40, rel. 14; 1.283 Å, 2θ 73.87, rel. 34; 1.247 Å, 2θ 76.39, rel. 11; 1.214 Å, 2θ 78.88, rel. 38

(3)
The following is a calculated powder XRD pattern of Mn3AlMo. It was derived from a cell relaxed with PBE, using CuKα.

Crystal structure
a = 4.544 Å, b = 4.544 Å, c = 4.544 Å
α = 90.00°, β = 90.00°, γ = 90.00°
Positions (direct):
Mn (0.000, 0.000, 0.500)
Mn (0.000, 0.500, 0.000)
Mn (0.500, 0.000, 0.000)
Al (0.500, 0.500, 0.500)
Mo (0.000, 0.000, 0.000)

The 10 most intense peaks (10 to 90 degrees two-theta), by angle:
4.544 Å, 2θ 19.53, rel. 100; 3.213 Å, 2θ 27.76, rel. 25; 2.624 Å, 2θ 34.17, rel. 19; 2.272 Å, 2θ 39.67, rel. 84; 2.032 Å, 2θ 44.58, rel. 44; 1.855 Å, 2θ 49.11, rel. 10; 1.607 Å, 2θ 57.35, rel. 53; 1.515 Å, 2θ 61.18, rel. 20; 1.312 Å, 2θ 71.98, rel. 17; 1.102 Å, 2θ 88.77, rel. 12